Entry 1:
For PtSe2O6, a crystal structure in Alexandria, relaxed with GGA-PBE gives the calculated PXRD pattern in this record (Cu Kα, 1.54184 Å).

Top 10 peaks for 2θ from 10° to 90°, low angle first:
| 2theta | I_rel | hkl |
| --- | --- | --- |
| 13.21 | 998 | 0 0 3 |
| 21.54 | 743 | 1 0 1 |
| 22.87 | 636 | 0 1 2 |
| 27.62 | 1000 | 1 0 4 |
| 30.73 | 958 | 0 1 5 |
| 36.93 | 582 | 1 1 0 |
| 37.90 | 347 | 1 0 7 |
| 39.39 | 270 | 1 1 3 |
| 48.78 | 267 | 2 0 5 |
| 55.86 | 421 | 2 -1 9 |

Cell and atoms:
Lattice parameters (Å, degrees): 4.8678 4.8678 20.1078 90.00 90.00 120.00
Space group R3 (No. 146, hexagonal axes)
Symmetry-distinct sites (fractional):
Pt1 0.0000 0.0000 0.0000 [3 per cell]
Se1 0.0000 0.0000 0.5715 [3 per cell]
Se2 0.0000 0.0000 0.7617 [3 per cell]
O1 0.0064 0.3365 0.6041 [9 per cell]
O2 0.0058 0.6696 0.7291 [9 per cell]

***

Entry 2:
For BiSbTeN2, a crystal structure in Alexandria, relaxed with GGA-PBE gives the calculated PXRD pattern in this record (Cu Kα, 1.54184 Å).

Top 10 peaks for 2θ from 10° to 90°, low angle first:
| 2theta | I_rel | hkl |
| --- | --- | --- |
| 15.19 | 408 | 0 0 1 |
| 25.83 | 642 | 1 0 1 |
| 29.53 | 1000 | 1 1 0 |
| 30.66 | 586 | 0 0 2 |
| 33.36 | 458 | 1 1 1 |
| 42.25 | 484 | 2 0 0 |
| 43.08 | 735 | 1 1 2 |
| 50.18 | 220 | 2 1 1 |
| 53.09 | 492 | 2 0 2 |
| 77.83 | 272 | 3 1 2 |

Cell and atoms:
Lattice parameters (Å, degrees): 4.278 4.278 5.833 90.00 90.00 90.00
Space group P4/mmm (No. 123)
Symmetry-distinct sites (fractional):
Bi1 0.000 0.000 0.000 [1 per cell]
Sb1 0.500 0.500 0.500 [1 per cell]
Te1 0.500 0.500 0.000 [1 per cell]
N1 0.000 0.500 0.500 [2 per cell]

***

Entry 3:
For RbTiS2, a crystal structure in Alexandria, relaxed with GGA-PBE gives the calculated PXRD pattern in this record (Cu Kα, 1.54184 Å).

Top 10 peaks for 2θ from 10° to 90°, low angle first:
| 2theta | I_rel | hkl |
| --- | --- | --- |
| 14.02 | 651 | 0 1 0 |
| 19.04 | 317 | 1 0 -1 |
| 19.77 | 296 | 1 1 -1 |
| 21.20 | 331 | 1 1 0 |
| 24.42 | 1000 | 0 1 -2 |
| 30.22 | 336 | 1 0 -2 |
| 31.12 | 490 | 1 -2 0 |
| 33.00 | 302 | 1 2 0 |
| 35.06 | 193 | 2 0 1 |
| 52.20 | 360 | 0 3 1 |

Cell and atoms:
Lattice parameters (Å, degrees): 6.010 7.299 7.339 119.80 96.77 90.18
Space group P1 (No. 1)
Symmetry-distinct sites (fractional):
Rb1 0.000 0.000 0.000 [1 per cell]
Rb2 0.436 0.639 0.277 [1 per cell]
Ti1 0.216 0.423 0.640 [1 per cell]
Ti2 0.716 0.418 0.639 [1 per cell]
S1 0.000 0.368 0.855 [1 per cell]
S2 0.431 0.152 0.426 [1 per cell]
S3 0.496 0.699 0.831 [1 per cell]
S4 0.938 0.505 0.446 [1 per cell]

***

Entry 4:
For Cs2Sn2PbSe4, a crystal structure in Alexandria, relaxed with GGA-PBE gives the calculated PXRD pattern in this record (Cu Kα, 1.54184 Å).

Top 10 peaks for 2θ from 10° to 90°, low angle first:
| 2theta | I_rel | hkl |
| --- | --- | --- |
| 10.86 | 461 | 0 0 1 |
| 25.47 | 682 | 3 1 -1 |
| 28.50 | 650 | 4 0 1 |
| 28.84 | 245 | 1 1 -2 |
| 29.12 | 1000 | 3 1 -2 |
| 31.41 | 332 | 3 1 1 |
| 34.06 | 213 | 6 0 -3 |
| 36.02 | 248 | 3 1 -3 |
| 42.06 | 318 | 0 2 0 |
| 51.59 | 255 | 4 2 1 |

Cell and atoms:
Lattice parameters (Å, degrees): 18.550 4.297 9.190 90.00 117.58 90.00
Space group C2/m (No. 12)
Symmetry-distinct sites (fractional):
Cs1 0.119 0.000 0.043 [4 per cell]
Sn1 0.192 0.500 0.543 [4 per cell]
Pb1 0.000 0.000 0.500 [2 per cell]
Se1 0.040 0.500 0.297 [4 per cell]
Se2 0.186 0.000 0.736 [4 per cell]

***

Entry 5:
For Rb3Tl2Br7, a crystal structure in Alexandria, relaxed with GGA-PBE gives the calculated PXRD pattern in this record (Cu Kα, 1.54184 Å).

Top 10 peaks for 2θ from 10° to 90°, low angle first:
| 2theta | I_rel | hkl |
| --- | --- | --- |
| 12.48 | 822 | 0 4 0 |
| 15.14 | 510 | 1 1 0 |
| 21.73 | 642 | 1 1 1 |
| 26.69 | 601 | 1 5 1 |
| 29.88 | 1000 | 2 0 0 |
| 31.29 | 885 | 0 0 2 |
| 31.53 | 667 | 0 10 0 |
| 43.81 | 692 | 2 0 2 |
| 43.99 | 527 | 2 10 0 |
| 54.98 | 544 | 2 10 2 |

Cell and atoms:
Lattice parameters (Å, degrees): 5.981 28.370 5.717 90.00 90.00 90.00
Space group Cmmm (No. 65)
Symmetry-distinct sites (fractional):
Rb1 0.000 0.000 0.000 [2 per cell]
Rb2 0.000 0.180 0.000 [4 per cell]
Tl1 0.000 0.395 0.500 [4 per cell]
Br1 0.000 0.100 0.500 [4 per cell]
Br2 0.000 0.293 0.500 [4 per cell]
Br3 0.000 0.399 0.000 [4 per cell]
Br4 0.000 0.500 0.500 [2 per cell]

***

Entry 6:
For PrHoGa, a crystal structure in Alexandria, relaxed with GGA-PBE gives the calculated PXRD pattern in this record (Cu Kα, 1.54184 Å).

Top 10 peaks for 2θ from 10° to 90°, low angle first:
| 2theta | I_rel | hkl |
| --- | --- | --- |
| 29.86 | 1000 | 1 1 1 |
| 32.59 | 501 | 2 0 1 |
| 34.20 | 386 | 2 1 0 |
| 38.95 | 286 | 3 0 0 |
| 39.79 | 152 | 2 1 1 |
| 40.07 | 220 | 0 0 2 |
| 51.67 | 104 | 3 1 1 |
| 53.67 | 215 | 2 1 2 |
| 57.11 | 186 | 3 0 2 |
| 61.83 | 244 | 3 2 1 |

Cell and atoms:
Lattice parameters (Å, degrees): 8.0105 8.0105 4.5005 90.00 90.00 120.00
Space group P-62m (No. 189)
Symmetry-distinct sites (fractional):
Pr1 0.0000 0.6016 0.0000 [3 per cell]
Ho1 0.0000 0.2659 0.5000 [3 per cell]
Ga1 0.0000 0.0000 0.0000 [1 per cell]
Ga2 0.3333 0.6667 0.5000 [2 per cell]